This entry pairs a crystal structure of Ac2In3SnPt4 with its simulated powder diffractogram. Radiation: Cu Ka. Structure: a crystal structure in Alexandria, relaxed with GGA-PBE.
Lines closer than 0.1° are merged.

Structure:
```
Ac2In3SnPt4
1.0
4.7948 0.0000 0.0000
0.0000 4.7948 0.0000
0.0000 0.0000 10.5037
Ac In Sn Pt
2 3 1 4
Direct
0.0000 0.5000 0.2379
0.5000 0.0000 0.7621
0.0000 0.5000 0.8800
0.5000 0.0000 0.1200
0.5000 0.5000 0.5000
0.0000 0.0000 0.5000
0.0000 0.0000 0.0000
0.0000 0.5000 0.6269
0.5000 0.0000 0.3731
0.5000 0.5000 0.0000
```

Main lines, low angle first (15 to 90 degrees two-theta):
- d = 2.848 Å, 2θ = 31.41°, I 100.0, hkl 1 1 2
- d = 2.828 Å, 2θ = 31.64°, I 67.2, hkl 1 0 3
- d = 2.397 Å, 2θ = 37.52°, I 79.5, hkl 2 0 0
- d = 1.829 Å, 2θ = 49.87°, I 38.2, hkl 2 1 3
- d = 1.695 Å, 2θ = 54.10°, I 27.9, hkl 2 2 0
- d = 1.457 Å, 2θ = 63.90°, I 27.0, hkl 3 1 2